Diffraction record for Gd2HoMg3Al2Hg. The powder XRD pattern is simulated, not measured: it uses a DFT-relaxed cell (PBE, OQMD) and Cu Kα, 1.54184 Å.
Peak positions follow from Bragg's law for the DFT cell and can differ from measured ones.

Most intense lines, 5° ≤ 2θ ≤ 70°, in order of falling intensity:
h k l  2θ (°)  d (Å)  intensity
1 2 2  34.1  2.627  100.0
1 0 0  19.6  4.538  80.7
0 2 2  27.7  3.222  58.0
1 3 1  31.1  2.875  57.0
1 4 0  34.2  2.620  50.5
2 4 0  49.1  1.854  44.5
2 0 0  39.7  2.269  30.5
0 4 0  27.8  3.208  28.8
0 6 0  42.2  2.141  25.6
1 8 2  66.7  1.402  24.7
0 3 1  24.0  3.709  24.3
1 5 3  55.3  1.661  22.6

Crystal structure
a = 4.538 Å, b = 12.834 Å, c = 7.452 Å
α = 90.00°, β = 90.00°, γ = 90.00°
Space group Amm2 (No. 38)
Asymmetric unit:
Gd 0.000 0.212 0.000 x4
Ho 0.000 0.000 0.363 x2
Mg 0.500 0.000 0.032 x2
Mg 0.500 0.122 0.665 x4
Al 0.500 0.166 0.288 x4
Hg 0.000 0.000 0.784 x2